This entry pairs a crystal structure of Ba2GdReO6 with its calculated powder XRD pattern. Radiation: CuKα. Structure: a crystal structure in the Materials Project, relaxed with GGA-PBE.
Kinematic intensities with the Lorentz-polarization factor, no thermal factor.

Main lines, sorted by position (2θ = 10–90°):
two_theta, d_spacing, intensity
18.04, 4.918, 1
20.86, 4.259, 5
29.67, 3.011, 100
42.45, 2.129, 28
47.75, 1.905, 2
52.64, 1.739, 41
61.59, 1.506, 18
69.84, 1.347, 18
77.67, 1.229, 6
85.27, 1.138, 22

a b c (Å): 6.0229 6.0229 6.0229
angles (deg): 60.00 60.00 60.00
Element x y z (fractional)
Ba: 0.2500 0.2500 0.2500
Ba: 0.7500 0.7500 0.7500
Gd: 0.0000 0.0000 0.0000
Re: 0.5000 0.5000 0.5000
O: 0.2670 0.2670 0.7330
O: 0.2670 0.7330 0.2670
O: 0.2670 0.7330 0.7330
O: 0.7330 0.2670 0.2670
O: 0.7330 0.2670 0.7330
O: 0.7330 0.7330 0.2670